This entry pairs a crystal structure of Ba2Cd2Sb3 with its computed PXRD pattern. Radiation: Cu Kα X-rays. Structure: a cell relaxed with PBE.
Intensities are scaled so that the largest is 100.

Largest 12 diffraction maxima, low angle first, 2θ = 10–90°:
2theta	d_spacing	intensity
22.09	4.024	35.0
23.37	3.806	50.9
26.90	3.314	69.0
27.38	3.257	82.4
30.14	2.965	100.0
31.17	2.869	68.0
31.90	2.805	89.2
36.53	2.460	99.8
36.73	2.447	35.2
38.16	2.358	74.3
40.08	2.250	41.1
48.77	1.867	38.1

Cell and atoms:
a = 9.4966 Å, b = 9.4966 Å, c = 13.6773 Å
α = 125.37°, β = 125.37°, γ = 30.02°
Fractional positions:
Ba 0.1019 0.1019 0.4442
Ba 0.2359 0.2359 0.8374
Ba 0.7641 0.7641 0.1626
Ba 0.8981 0.8981 0.5558
Cd 0.0912 0.0912 0.1540
Cd 0.4588 0.4588 0.1894
Cd 0.5412 0.5412 0.8106
Cd 0.9088 0.9088 0.8460
Sb 0.1133 0.1133 0.9584
Sb 0.3442 0.3442 0.6952
Sb 0.4201 0.4201 0.3756
Sb 0.5799 0.5799 0.6244
Sb 0.6558 0.6558 0.3048
Sb 0.8867 0.8867 0.0416

---

This entry pairs a crystal structure of Ba2CdSe3 with its computed PXRD pattern. Radiation: Cu Kα X-rays. Structure: a cell relaxed with PBE.
Intensities are scaled so that the largest is 100.

Largest 12 diffraction maxima, low angle first, 2θ = 10–90°:
2theta	d_spacing	intensity
24.43	3.644	62.0
26.25	3.394	80.1
27.24	3.274	90.8
27.68	3.223	97.4
28.98	3.081	82.4
29.32	3.046	86.9
30.12	2.967	55.1
31.02	2.883	59.5
32.90	2.722	85.9
35.06	2.559	70.5
36.93	2.434	45.4
39.54	2.279	100.0

Cell and atoms:
a = 9.4154 Å, b = 4.5591 Å, c = 18.1892 Å
α = 90.00°, β = 90.00°, γ = 90.00°
Fractional positions:
Ba 0.0778 0.2500 0.2156
Ba 0.2398 0.2500 0.9604
Ba 0.2602 0.7500 0.4604
Ba 0.4222 0.7500 0.7156
Ba 0.5778 0.2500 0.2844
Ba 0.7398 0.2500 0.5396
Ba 0.7602 0.7500 0.0396
Ba 0.9222 0.7500 0.7844
Cd 0.1245 0.2500 0.6332
Cd 0.3755 0.7500 0.1332
Cd 0.6245 0.2500 0.8668
Cd 0.8755 0.7500 0.3668
Se 0.0150 0.2500 0.4041
Se 0.1181 0.7500 0.0721
Se 0.1856 0.2500 0.7772
Se 0.3144 0.7500 0.2772
Se 0.3819 0.2500 0.5721
Se 0.4850 0.7500 0.9041
Se 0.5150 0.2500 0.0959
Se 0.6181 0.7500 0.4279
Se 0.6856 0.2500 0.7228
Se 0.8144 0.7500 0.2228
Se 0.8819 0.2500 0.9279
Se 0.9850 0.7500 0.5959

---

This entry pairs a crystal structure of Ba2CdTe3 with its computed PXRD pattern. Radiation: Cu Kα X-rays. Structure: a cell relaxed with PBE.
Intensities are scaled so that the largest is 100.

Largest 12 diffraction maxima, low angle first, 2θ = 10–90°:
2theta	d_spacing	intensity
24.64	3.614	52.0
25.63	3.476	56.0
26.08	3.417	100.0
27.29	3.268	79.6
27.59	3.233	97.5
28.28	3.155	39.9
29.09	3.070	44.4
30.92	2.892	78.3
32.98	2.716	63.6
33.58	2.669	27.5
37.32	2.410	76.4
43.27	2.091	31.9

Cell and atoms:
a = 10.0111 Å, b = 4.8193 Å, c = 19.3817 Å
α = 90.00°, β = 90.00°, γ = 90.00°
Fractional positions:
Ba 0.0736 0.2500 0.2146
Ba 0.2466 0.2500 0.9630
Ba 0.2534 0.7500 0.4630
Ba 0.4264 0.7500 0.7146
Ba 0.5736 0.2500 0.2854
Ba 0.7466 0.2500 0.5370
Ba 0.7534 0.7500 0.0370
Ba 0.9264 0.7500 0.7854
Cd 0.1305 0.2500 0.6359
Cd 0.3695 0.7500 0.1359
Cd 0.6305 0.2500 0.8641
Cd 0.8695 0.7500 0.3641
Te 0.0117 0.2500 0.4032
Te 0.1132 0.7500 0.0717
Te 0.1922 0.2500 0.7797
Te 0.3078 0.7500 0.2797
Te 0.3868 0.2500 0.5717
Te 0.4883 0.7500 0.9032
Te 0.5117 0.2500 0.0968
Te 0.6132 0.7500 0.4283
Te 0.6922 0.2500 0.7203
Te 0.8078 0.7500 0.2203
Te 0.8868 0.2500 0.9283
Te 0.9883 0.7500 0.5968

---

This entry pairs a crystal structure of Ba3Ce with its computed PXRD pattern. Radiation: Cu Kα X-rays. Structure: a cell relaxed with PBE.
Intensities are scaled so that the largest is 100.

Largest 12 diffraction maxima, low angle first, 2θ = 10–90°:
2theta	d_spacing	intensity
25.88	3.443	100.0
29.40	3.038	18.0
30.24	2.955	33.5
42.68	2.118	25.9
43.30	2.090	12.4
50.05	1.823	16.2
51.13	1.786	30.5
53.20	1.722	13.5
68.29	1.374	12.9
69.19	1.358	6.2
79.01	1.212	8.6
85.23	1.139	7.2

Cell and atoms:
a = 7.3743 Å, b = 7.3743 Å, c = 7.3743 Å
α = 132.75°, β = 132.75°, γ = 69.05°
Fractional positions:
Ba 0.0000 0.0000 0.0000
Ba 0.2500 0.7500 0.5000
Ba 0.7500 0.2500 0.5000
Ce 0.5000 0.5000 0.0000

---

This entry pairs a crystal structure of BaCe3 with its computed PXRD pattern. Radiation: Cu Kα X-rays. Structure: a cell relaxed with PBE.
Intensities are scaled so that the largest is 100.

Largest 12 diffraction maxima, low angle first, 2θ = 10–90°:
2theta	d_spacing	intensity
14.17	6.252	23.0
28.55	3.126	21.1
30.15	2.964	34.3
32.38	2.765	100.0
38.08	2.363	11.5
42.01	2.151	14.8
46.17	1.966	18.3
49.32	1.848	10.9
50.57	1.805	10.3
54.98	1.670	22.1
60.01	1.541	12.3
65.04	1.434	12.5

Cell and atoms:
a = 7.2193 Å, b = 7.2193 Å, c = 5.9275 Å
α = 90.00°, β = 90.00°, γ = 120.00°
Fractional positions:
Ba 0.3333 0.6667 0.2500
Ba 0.6667 0.3333 0.7500
Ce 0.1335 0.2670 0.7500
Ce 0.1335 0.8665 0.7500
Ce 0.2670 0.1335 0.2500
Ce 0.7330 0.8665 0.7500
Ce 0.8665 0.1335 0.2500
Ce 0.8665 0.7330 0.2500

---

This entry pairs a crystal structure of BaCe with its computed PXRD pattern. Radiation: Cu Kα X-rays. Structure: a cell relaxed with PBE.
Intensities are scaled so that the largest is 100.

Largest 12 diffraction maxima, low angle first, 2θ = 10–90°:
2theta	d_spacing	intensity
26.27	3.393	22.6
26.94	3.310	28.3
29.58	3.019	100.0
37.98	2.369	17.0
46.35	1.959	19.2
49.26	1.850	24.1
54.43	1.686	23.8
55.95	1.643	16.4
69.95	1.345	8.4
75.15	1.264	9.2
75.51	1.259	13.6
88.10	1.109	9.5

Cell and atoms:
a = 3.9179 Å, b = 3.9179 Å, c = 6.6196 Å
α = 90.00°, β = 90.00°, γ = 120.00°
Fractional positions:
Ba 0.0000 0.0000 0.0000
Ce 0.6667 0.3333 0.5000